No. 1
# Sn4P2O9
Simulated X-ray diffraction stick pattern, Cu Kα (weighted mean of Kα1 and Kα2). Input: a cell relaxed with GGA-PBE.

Principal peaks in the range 2θ = 5–70°, most intense first:
| Position (°2θ) | I/Imax |
| --- | --- |
| 18.0 | 100.0 |
| 28.1 | 96.3 |
| 26.4 | 77.4 |
| 25.6 | 59.6 |
| 30.3 | 52.6 |
| 26.6 | 46.1 |
| 21.4 | 44.2 |
| 24.5 | 42.0 |
| 30.9 | 37.3 |
| 34.3 | 35.7 |
| 25.2 | 35.6 |
| 29.2 | 32.1 |

Cell and atoms:
```
data_Sn4P2O9
_chemical_formula_sum 'Sn8 P4 O18'
_cell_length_a 7.316
_cell_length_b 8.120
_cell_length_c 11.136
_cell_angle_alpha 70.09
_cell_angle_beta 75.99
_cell_angle_gamma 69.77
_symmetry_space_group_name_H-M 'P -1'
_symmetry_Int_Tables_number 2
_symmetry_space_group_name_Hall '-P 1'
loop_
_atom_site_label
_atom_site_type_symbol
_atom_site_fract_x
_atom_site_fract_y
_atom_site_fract_z
_atom_site_occupancy
Sn1 Sn 0.009 0.241 0.455 1
Sn2 Sn 0.135 0.060 0.107 1
Sn3 Sn 0.215 0.457 0.819 1
Sn4 Sn 0.471 0.779 0.602 1
P1 P 0.201 0.590 0.282 1
P2 P 0.418 0.034 0.802 1
O1 O 0.058 0.478 0.288 1
O2 O 0.145 0.774 0.180 1
O3 O 0.181 0.602 0.421 1
O4 O 0.225 0.682 0.650 1
O5 O 0.336 0.993 0.946 1
O6 O 0.341 0.931 0.739 1
O7 O 0.352 0.034 0.216 1
O8 O 0.352 0.243 0.731 1
O9 O 0.417 0.476 0.248 1
```

No. 2
# Sn5P2O10
Simulated X-ray diffraction stick pattern, Cu Kα (weighted mean of Kα1 and Kα2). Input: a cell relaxed with GGA-PBE.

Principal peaks in the range 2θ = 5–70°, most intense first:
| Position (°2θ) | I/Imax |
| --- | --- |
| 26.7 | 100.0 |
| 27.5 | 81.7 |
| 51.7 | 37.0 |
| 19.3 | 36.2 |
| 24.8 | 34.9 |
| 31.8 | 33.8 |
| 32.1 | 33.6 |
| 33.1 | 26.7 |
| 39.2 | 24.9 |
| 25.2 | 24.7 |
| 19.9 | 23.2 |
| 18.8 | 22.4 |

Cell and atoms:
```
data_Sn5P2O10
_chemical_formula_sum 'Sn10 P4 O20'
_cell_length_a 7.318
_cell_length_b 7.363
_cell_length_c 13.398
_cell_angle_alpha 89.23
_cell_angle_beta 85.79
_cell_angle_gamma 61.71
_symmetry_space_group_name_H-M 'P -1'
_symmetry_Int_Tables_number 2
_symmetry_space_group_name_Hall '-P 1'
loop_
_atom_site_label
_atom_site_type_symbol
_atom_site_fract_x
_atom_site_fract_y
_atom_site_fract_z
_atom_site_occupancy
Sn1 Sn 0.010 0.187 0.172 1
Sn2 Sn 0.066 0.269 0.863 1
Sn3 Sn 0.190 0.695 0.380 1
Sn4 Sn 0.326 0.208 0.620 1
Sn5 Sn 0.443 0.287 0.130 1
P1 P 0.070 0.296 0.396 1
P2 P 0.479 0.735 0.126 1
O1 O 0.070 0.209 0.708 1
O2 O 0.086 0.206 0.505 1
O3 O 0.116 0.406 0.149 1
O4 O 0.127 0.117 0.319 1
O5 O 0.160 0.539 0.614 1
O6 O 0.227 0.381 0.382 1
O7 O 0.324 0.966 0.112 1
O8 O 0.355 0.287 0.800 1
O9 O 0.357 0.621 0.168 1
O10 O 0.396 0.366 0.974 1
```